No. 1
Starting from a GGA-PBE-relaxed structure, the powder diffractogram of PuFeGeRu was calculated for CuKα.
Neutral-atom scattering factors, no anomalous dispersion.

Principal peaks in the range 10 to 90 degrees two-theta, by intensity:
- 2θ = 40.17°, I = 100
- 2θ = 72.99°, I = 34
- 2θ = 24.28°, I = 29
- 2θ = 58.11°, I = 17
- 2θ = 47.49°, I = 16
- 2θ = 28.10°, I = 12
- 2θ = 86.75°, I = 11
- 2θ = 63.90°, I = 7
- 2θ = 65.77°, I = 5
- 2θ = 78.22°, I = 5

```
data_PuFeGeRu
_cell_length_a 6.350
_cell_length_b 6.350
_cell_length_c 6.350
_cell_angle_alpha 90.00
_cell_angle_beta 90.00
_cell_angle_gamma 90.00
_space_group_name_H-M_alt 'P 1'
_space_group_IT_number 1
_space_group_name_Hall 'P 1'
loop_
_atom_site_label
_atom_site_type_symbol
_atom_site_fract_x
_atom_site_fract_y
_atom_site_fract_z
Pu1 Pu 0.000 0.000 0.000
Pu2 Pu 0.000 0.500 0.500
Pu3 Pu 0.500 0.000 0.500
Pu4 Pu 0.500 0.500 0.000
Fe1 Fe 0.250 0.250 0.250
Fe2 Fe 0.250 0.750 0.750
Fe3 Fe 0.750 0.250 0.750
Fe4 Fe 0.750 0.750 0.250
Ge1 Ge 0.000 0.000 0.500
Ge2 Ge 0.000 0.500 0.000
Ge3 Ge 0.500 0.000 0.000
Ge4 Ge 0.500 0.500 0.500
Ru1 Ru 0.250 0.250 0.750
Ru2 Ru 0.250 0.750 0.250
Ru3 Ru 0.750 0.250 0.250
Ru4 Ru 0.750 0.750 0.750
```



No. 2
Starting from a GGA-PBE-relaxed structure, the powder diffractogram of RbTaFeGeTe was calculated for CuKα.
Neutral-atom scattering factors, no anomalous dispersion.

Principal peaks in the range 10 to 90 degrees two-theta, by intensity:
- 2θ = 10.48°, I = 100
- 2θ = 32.69°, I = 98
- 2θ = 43.55°, I = 54
- 2θ = 50.09°, I = 31
- 2θ = 26.92°, I = 28
- 2θ = 40.69°, I = 25
- 2θ = 24.73°, I = 24
- 2θ = 55.50°, I = 22
- 2θ = 73.07°, I = 19
- 2θ = 84.76°, I = 19

```
data_RbTaFeGeTe
_cell_length_a 4.157
_cell_length_b 4.157
_cell_length_c 8.444
_cell_angle_alpha 90.00
_cell_angle_beta 90.00
_cell_angle_gamma 120.00
_space_group_name_H-M_alt 'P 1'
_space_group_IT_number 1
_space_group_name_Hall 'P 1'
loop_
_atom_site_label
_atom_site_type_symbol
_atom_site_fract_x
_atom_site_fract_y
_atom_site_fract_z
Rb1 Rb 0.000 0.000 0.000
Ta1 Ta 0.000 0.000 0.474
Fe1 Fe 0.667 0.333 0.374
Ge1 Ge 0.333 0.667 0.315
Te1 Te 0.667 0.333 0.676
```



No. 3
Starting from a GGA-PBE-relaxed structure, the powder diffractogram of RbTaFeGeTe was calculated for CuKα.
Neutral-atom scattering factors, no anomalous dispersion.

Principal peaks in the range 10 to 90 degrees two-theta, by intensity:
- 2θ = 10.68°, I = 100
- 2θ = 29.00°, I = 66
- 2θ = 34.15°, I = 55
- 2θ = 39.14°, I = 54
- 2θ = 46.45°, I = 50
- 2θ = 26.83°, I = 33
- 2θ = 22.03°, I = 27
- 2θ = 53.14°, I = 24
- 2θ = 43.50°, I = 24
- 2θ = 49.13°, I = 17

```
data_RbTaFeGeTe
_cell_length_a 3.709
_cell_length_b 4.160
_cell_length_c 16.568
_cell_angle_alpha 90.00
_cell_angle_beta 90.00
_cell_angle_gamma 90.00
_space_group_name_H-M_alt 'P 1'
_space_group_IT_number 1
_space_group_name_Hall 'P 1'
loop_
_atom_site_label
_atom_site_type_symbol
_atom_site_fract_x
_atom_site_fract_y
_atom_site_fract_z
Rb1 Rb 0.000 0.000 0.000
Rb2 Rb 0.500 0.500 0.500
Ta1 Ta 0.000 0.500 0.276
Ta2 Ta 0.500 0.000 0.776
Fe1 Fe 0.000 0.500 0.761
Fe2 Fe 0.500 0.000 0.261
Ge1 Ge 0.000 0.000 0.366
Ge2 Ge 0.500 0.500 0.866
Te1 Te 0.000 0.000 0.654
Te2 Te 0.500 0.500 0.154
```



No. 4
Starting from a GGA-PBE-relaxed structure, the powder diffractogram of FeGe2Rh4 was calculated for CuKα.
Neutral-atom scattering factors, no anomalous dispersion.

Principal peaks in the range 10 to 90 degrees two-theta, by intensity:
- 2θ = 43.31°, I = 100
- 2θ = 43.13°, I = 100
- 2θ = 79.34°, I = 32
- 2θ = 62.78°, I = 32
- 2θ = 30.19°, I = 31
- 2θ = 79.47°, I = 16
- 2θ = 78.94°, I = 15
- 2θ = 26.11°, I = 8
- 2θ = 53.70°, I = 6
- 2θ = 71.09°, I = 6

```
data_FeGe2Rh4
_cell_length_a 7.277
_cell_length_b 7.277
_cell_length_c 7.277
_cell_angle_alpha 33.37
_cell_angle_beta 33.37
_cell_angle_gamma 33.37
_space_group_name_H-M_alt 'P 1'
_space_group_IT_number 1
_space_group_name_Hall 'P 1'
loop_
_atom_site_label
_atom_site_type_symbol
_atom_site_fract_x
_atom_site_fract_y
_atom_site_fract_z
Fe1 Fe 0.000 0.000 0.000
Ge1 Ge 0.245 0.245 0.245
Ge2 Ge 0.755 0.755 0.755
Rh1 Rh 0.124 0.124 0.124
Rh2 Rh 0.374 0.374 0.374
Rh3 Rh 0.626 0.626 0.626
Rh4 Rh 0.876 0.876 0.876
```



No. 5
Starting from a GGA-PBE-relaxed structure, the powder diffractogram of FeGeSb was calculated for CuKα.
Neutral-atom scattering factors, no anomalous dispersion.

Principal peaks in the range 10 to 90 degrees two-theta, by intensity:
- 2θ = 29.80°, I = 100
- 2θ = 41.53°, I = 88
- 2θ = 41.78°, I = 82
- 2θ = 47.08°, I = 75
- 2θ = 30.13°, I = 64
- 2θ = 48.30°, I = 53
- 2θ = 28.26°, I = 44
- 2θ = 32.11°, I = 35
- 2θ = 79.14°, I = 23
- 2θ = 58.46°, I = 19

```
data_FeGeSb
_cell_length_a 3.099
_cell_length_b 3.158
_cell_length_c 6.129
_cell_angle_alpha 90.00
_cell_angle_beta 104.55
_cell_angle_gamma 90.00
_space_group_name_H-M_alt 'P 1'
_space_group_IT_number 1
_space_group_name_Hall 'P 1'
loop_
_atom_site_label
_atom_site_type_symbol
_atom_site_fract_x
_atom_site_fract_y
_atom_site_fract_z
Fe1 Fe 0.000 0.000 0.000
Ge1 Ge 0.586 0.500 0.174
Sb1 Sb 0.823 0.500 0.647
```



No. 6
Starting from a GGA-PBE-relaxed structure, the powder diffractogram of FeGeSb was calculated for CuKα.
Neutral-atom scattering factors, no anomalous dispersion.

Principal peaks in the range 10 to 90 degrees two-theta, by intensity:
- 2θ = 31.49°, I = 100
- 2θ = 42.34°, I = 63
- 2θ = 43.71°, I = 60
- 2θ = 21.54°, I = 45
- 2θ = 41.13°, I = 41
- 2θ = 30.84°, I = 39
- 2θ = 55.26°, I = 36
- 2θ = 28.56°, I = 34
- 2θ = 43.90°, I = 34
- 2θ = 56.47°, I = 18

```
data_FeGeSb
_cell_length_a 8.273
_cell_length_b 3.259
_cell_length_c 5.809
_cell_angle_alpha 90.00
_cell_angle_beta 130.93
_cell_angle_gamma 90.00
_space_group_name_H-M_alt 'P 1'
_space_group_IT_number 1
_space_group_name_Hall 'P 1'
loop_
_atom_site_label
_atom_site_type_symbol
_atom_site_fract_x
_atom_site_fract_y
_atom_site_fract_z
Fe1 Fe 0.000 0.000 0.000
Fe2 Fe 0.500 0.500 0.000
Ge1 Ge 0.230 0.500 0.037
Ge2 Ge 0.730 0.000 0.037
Sb1 Sb 0.258 0.000 0.568
Sb2 Sb 0.758 0.500 0.568
```



No. 7
Starting from a GGA-PBE-relaxed structure, the powder diffractogram of Sc4Fe2Ge5 was calculated for CuKα.
Neutral-atom scattering factors, no anomalous dispersion.

Principal peaks in the range 10 to 90 degrees two-theta, by intensity:
- 2θ = 38.36°, I = 100
- 2θ = 37.44°, I = 52
- 2θ = 39.03°, I = 43
- 2θ = 36.25°, I = 36
- 2θ = 40.44°, I = 31
- 2θ = 45.89°, I = 25
- 2θ = 33.81°, I = 20
- 2θ = 50.06°, I = 18
- 2θ = 78.72°, I = 18
- 2θ = 44.61°, I = 16

```
data_Sc4Fe2Ge5
_cell_length_a 9.858
_cell_length_b 9.858
_cell_length_c 9.858
_cell_angle_alpha 130.50
_cell_angle_beta 59.68
_cell_angle_gamma 148.80
_space_group_name_H-M_alt 'P 1'
_space_group_IT_number 1
_space_group_name_Hall 'P 1'
loop_
_atom_site_label
_atom_site_type_symbol
_atom_site_fract_x
_atom_site_fract_y
_atom_site_fract_z
Sc1 Sc 0.058 0.723 0.781
Sc2 Sc 0.146 0.106 0.252
Sc3 Sc 0.354 0.606 0.961
Sc4 Sc 0.442 0.223 0.666
Sc5 Sc 0.558 0.777 0.334
Sc6 Sc 0.646 0.394 0.039
Sc7 Sc 0.854 0.894 0.748
Sc8 Sc 0.942 0.277 0.219
Fe1 Fe 0.049 0.750 0.299
Fe2 Fe 0.451 0.750 0.701
Fe3 Fe 0.549 0.250 0.299
Fe4 Fe 0.951 0.250 0.701
Ge1 Ge 0.088 0.405 0.493
Ge2 Ge 0.213 0.798 0.011
Ge3 Ge 0.250 0.250 0.000
Ge4 Ge 0.287 0.298 0.585
Ge5 Ge 0.412 0.905 0.317
Ge6 Ge 0.588 0.095 0.683
Ge7 Ge 0.713 0.702 0.415
Ge8 Ge 0.750 0.750 0.000
Ge9 Ge 0.787 0.202 0.989
Ge10 Ge 0.912 0.595 0.507
```



No. 8
Starting from a GGA-PBE-relaxed structure, the powder diffractogram of Sc4Fe4Ge7 was calculated for CuKα.
Neutral-atom scattering factors, no anomalous dispersion.

Principal peaks in the range 10 to 90 degrees two-theta, by intensity:
- 2θ = 37.73°, I = 100
- 2θ = 40.84°, I = 51
- 2θ = 40.28°, I = 26
- 2θ = 51.83°, I = 22
- 2θ = 46.32°, I = 21
- 2θ = 45.26°, I = 20
- 2θ = 64.17°, I = 20
- 2θ = 37.89°, I = 18
- 2θ = 44.19°, I = 17
- 2θ = 80.58°, I = 14

```
data_Sc4Fe4Ge7
_cell_length_a 9.844
_cell_length_b 9.844
_cell_length_c 9.844
_cell_angle_alpha 93.96
_cell_angle_beta 93.96
_cell_angle_gamma 149.53
_space_group_name_H-M_alt 'P 1'
_space_group_IT_number 1
_space_group_name_Hall 'P 1'
loop_
_atom_site_label
_atom_site_type_symbol
_atom_site_fract_x
_atom_site_fract_y
_atom_site_fract_z
Sc1 Sc 0.000 0.195 0.195
Sc2 Sc 0.000 0.805 0.805
Sc3 Sc 0.195 0.000 0.195
Sc4 Sc 0.360 0.360 0.721
Sc5 Sc 0.360 0.640 0.000
Sc6 Sc 0.640 0.360 0.000
Sc7 Sc 0.640 0.640 0.279
Sc8 Sc 0.805 0.000 0.805
Fe1 Fe 0.102 0.602 0.204
Fe2 Fe 0.102 0.898 0.500
Fe3 Fe 0.398 0.602 0.500
Fe4 Fe 0.398 0.898 0.796
Fe5 Fe 0.602 0.102 0.204
Fe6 Fe 0.602 0.398 0.500
Fe7 Fe 0.898 0.102 0.500
Fe8 Fe 0.898 0.398 0.796
Ge1 Ge 0.000 0.406 0.406
Ge2 Ge 0.000 0.594 0.594
Ge3 Ge 0.206 0.206 0.412
Ge4 Ge 0.206 0.794 0.000
Ge5 Ge 0.212 0.500 0.712
Ge6 Ge 0.250 0.250 0.000
Ge7 Ge 0.406 0.000 0.406
Ge8 Ge 0.500 0.212 0.712
Ge9 Ge 0.500 0.788 0.288
Ge10 Ge 0.594 0.000 0.594
Ge11 Ge 0.750 0.750 0.000
Ge12 Ge 0.788 0.500 0.288
Ge13 Ge 0.794 0.206 0.000
Ge14 Ge 0.794 0.794 0.588
```



No. 9
Starting from a GGA-PBE-relaxed structure, the powder diffractogram of FeSiGe was calculated for CuKα.
Neutral-atom scattering factors, no anomalous dispersion.

Principal peaks in the range 10 to 90 degrees two-theta, by intensity:
- 2θ = 48.16°, I = 100
- 2θ = 47.59°, I = 59
- 2θ = 36.50°, I = 43
- 2θ = 28.34°, I = 41
- 2θ = 28.50°, I = 36
- 2θ = 49.21°, I = 31
- 2θ = 45.63°, I = 25
- 2θ = 22.16°, I = 24
- 2θ = 44.85°, I = 22
- 2θ = 22.36°, I = 21

```
data_FeSiGe
_cell_length_a 6.454
_cell_length_b 6.454
_cell_length_c 8.023
_cell_angle_alpha 90.00
_cell_angle_beta 90.00
_cell_angle_gamma 76.07
_space_group_name_H-M_alt 'P 1'
_space_group_IT_number 1
_space_group_name_Hall 'P 1'
loop_
_atom_site_label
_atom_site_type_symbol
_atom_site_fract_x
_atom_site_fract_y
_atom_site_fract_z
Fe1 Fe 0.193 0.807 0.812
Fe2 Fe 0.217 0.217 0.000
Fe3 Fe 0.283 0.283 0.500
Fe4 Fe 0.307 0.693 0.312
Fe5 Fe 0.693 0.307 0.688
Fe6 Fe 0.717 0.717 0.500
Fe7 Fe 0.783 0.783 0.000
Fe8 Fe 0.807 0.193 0.188
Si1 Si 0.085 0.168 0.731
Si2 Si 0.168 0.085 0.269
Si3 Si 0.332 0.415 0.769
Si4 Si 0.415 0.332 0.231
Si5 Si 0.585 0.668 0.769
Si6 Si 0.668 0.585 0.231
Si7 Si 0.832 0.915 0.731
Si8 Si 0.915 0.832 0.269
Ge1 Ge 0.097 0.647 0.550
Ge2 Ge 0.147 0.597 0.050
Ge3 Ge 0.353 0.903 0.550
Ge4 Ge 0.403 0.853 0.050
Ge5 Ge 0.597 0.147 0.950
Ge6 Ge 0.647 0.097 0.450
Ge7 Ge 0.853 0.403 0.950
Ge8 Ge 0.903 0.353 0.450
```



No. 10
Starting from a GGA-PBE-relaxed structure, the powder diffractogram of TmFe2SiGe was calculated for CuKα.
Neutral-atom scattering factors, no anomalous dispersion.

Principal peaks in the range 10 to 90 degrees two-theta, by intensity:
- 2θ = 37.10°, I = 100
- 2θ = 35.96°, I = 80
- 2θ = 45.78°, I = 51
- 2θ = 24.28°, I = 37
- 2θ = 59.55°, I = 37
- 2θ = 52.75°, I = 25
- 2θ = 31.93°, I = 22
- 2θ = 78.91°, I = 21
- 2θ = 72.39°, I = 19
- 2θ = 67.10°, I = 18

```
data_TmFe2SiGe
_cell_length_a 5.580
_cell_length_b 5.580
_cell_length_c 5.604
_cell_angle_alpha 90.00
_cell_angle_beta 90.00
_cell_angle_gamma 119.68
_space_group_name_H-M_alt 'P 1'
_space_group_IT_number 1
_space_group_name_Hall 'P 1'
loop_
_atom_site_label
_atom_site_type_symbol
_atom_site_fract_x
_atom_site_fract_y
_atom_site_fract_z
Tm1 Tm 0.248 0.752 0.750
Tm2 Tm 0.752 0.248 0.250
Fe1 Fe 0.249 0.249 0.000
Fe2 Fe 0.249 0.249 0.500
Fe3 Fe 0.751 0.751 0.000
Fe4 Fe 0.751 0.751 0.500
Si1 Si 0.111 0.889 0.250
Si2 Si 0.889 0.111 0.750
Ge1 Ge 0.373 0.627 0.250
Ge2 Ge 0.627 0.373 0.750
```



No. 11
Starting from a GGA-PBE-relaxed structure, the powder diffractogram of V2Fe7SiGe2 was calculated for CuKα.
Neutral-atom scattering factors, no anomalous dispersion.

Principal peaks in the range 10 to 90 degrees two-theta, by intensity:
- 2θ = 42.36°, I = 100
- 2θ = 42.62°, I = 41
- 2θ = 45.81°, I = 35
- 2θ = 51.22°, I = 27
- 2θ = 36.56°, I = 25
- 2θ = 47.39°, I = 24
- 2θ = 53.66°, I = 17
- 2θ = 77.64°, I = 17
- 2θ = 51.84°, I = 14
- 2θ = 71.13°, I = 10

```
data_V2Fe7SiGe2
_cell_length_a 3.567
_cell_length_b 3.567
_cell_length_c 11.886
_cell_angle_alpha 90.00
_cell_angle_beta 90.00
_cell_angle_gamma 90.47
_space_group_name_H-M_alt 'P 1'
_space_group_IT_number 1
_space_group_name_Hall 'P 1'
loop_
_atom_site_label
_atom_site_type_symbol
_atom_site_fract_x
_atom_site_fract_y
_atom_site_fract_z
V1 V 0.000 0.000 0.175
V2 V 0.000 0.000 0.825
Fe1 Fe 0.000 0.000 0.500
Fe2 Fe 0.000 0.500 0.348
Fe3 Fe 0.000 0.500 0.652
Fe4 Fe 0.261 0.739 0.000
Fe5 Fe 0.500 0.000 0.348
Fe6 Fe 0.500 0.000 0.652
Fe7 Fe 0.739 0.261 0.000
Si1 Si 0.500 0.500 0.500
Ge1 Ge 0.500 0.500 0.194
Ge2 Ge 0.500 0.500 0.806
```



No. 12
Starting from a GGA-PBE-relaxed structure, the powder diffractogram of Sm2Fe3Ge4 was calculated for CuKα.
Neutral-atom scattering factors, no anomalous dispersion.

Principal peaks in the range 10 to 90 degrees two-theta, by intensity:
- 2θ = 36.30°, I = 100
- 2θ = 40.73°, I = 87
- 2θ = 36.79°, I = 55
- 2θ = 38.29°, I = 53
- 2θ = 34.23°, I = 43
- 2θ = 38.16°, I = 30
- 2θ = 60.44°, I = 22
- 2θ = 62.76°, I = 20
- 2θ = 52.18°, I = 19
- 2θ = 80.79°, I = 18

```
data_Sm2Fe3Ge4
_cell_length_a 7.954
_cell_length_b 7.954
_cell_length_c 7.431
_cell_angle_alpha 90.00
_cell_angle_beta 90.00
_cell_angle_gamma 139.43
_space_group_name_H-M_alt 'P 1'
_space_group_IT_number 1
_space_group_name_Hall 'P 1'
loop_
_atom_site_label
_atom_site_type_symbol
_atom_site_fract_x
_atom_site_fract_y
_atom_site_fract_z
Sm1 Sm 0.111 0.889 0.904
Sm2 Sm 0.389 0.611 0.404
Sm3 Sm 0.611 0.389 0.596
Sm4 Sm 0.889 0.111 0.096
Fe1 Fe 0.000 0.000 0.500
Fe2 Fe 0.028 0.472 0.750
Fe3 Fe 0.472 0.028 0.250
Fe4 Fe 0.500 0.500 0.000
Fe5 Fe 0.528 0.972 0.750
Fe6 Fe 0.972 0.528 0.250
Ge1 Ge 0.187 0.813 0.525
Ge2 Ge 0.192 0.308 0.750
Ge3 Ge 0.308 0.192 0.250
Ge4 Ge 0.313 0.687 0.025
Ge5 Ge 0.687 0.313 0.975
Ge6 Ge 0.692 0.808 0.750
Ge7 Ge 0.808 0.692 0.250
Ge8 Ge 0.813 0.187 0.475
```